Simulated powder X-ray diffraction pattern of ZnS for copper Kα, from a GGA-PBE-relaxed structure.
Kinematic intensities with the Lorentz-polarization factor, no thermal factor.

Principal peaks in the range 10 to 90 degrees two-theta, low angle first:
28.05 deg, rel. 84, hkl 1 0 6
28.34 deg, rel. 82, hkl 0 0 20
28.53 deg, rel. 62, hkl 0 1 7
29.06 deg, rel. 28, hkl 1 0 8
46.31 deg, rel. 31, hkl 1 0 26
47.17 deg, rel. 100, hkl 1 1 0
47.56 deg, rel. 27, hkl 0 1 27
55.94 deg, rel. 67, hkl 1 1 20

Atomic structure:
```
data_ZnS
_cell_length_a 3.854
_cell_length_b 3.854
_cell_length_c 62.987
_cell_angle_alpha 90.00
_cell_angle_beta 90.00
_cell_angle_gamma 120.00
_symmetry_space_group_name_H-M 'P 1'
_symmetry_Int_Tables_number 1
_symmetry_space_group_name_Hall 'P 1'
loop_
_atom_site_label
_atom_site_type_symbol
_atom_site_fract_x
_atom_site_fract_y
_atom_site_fract_z
Zn1 Zn 0.000 0.000 0.000
Zn2 Zn 0.000 0.000 0.100
Zn3 Zn 0.000 0.000 0.200
Zn4 Zn 0.000 0.000 0.400
Zn5 Zn 0.000 0.000 0.550
Zn6 Zn 0.000 0.000 0.700
Zn7 Zn 0.000 0.000 0.850
Zn8 Zn 0.333 0.667 0.150
Zn9 Zn 0.333 0.667 0.300
Zn10 Zn 0.333 0.667 0.450
Zn11 Zn 0.333 0.667 0.600
Zn12 Zn 0.333 0.667 0.800
Zn13 Zn 0.333 0.667 0.950
Zn14 Zn 0.667 0.333 0.050
Zn15 Zn 0.667 0.333 0.250
Zn16 Zn 0.667 0.333 0.350
Zn17 Zn 0.667 0.333 0.500
Zn18 Zn 0.667 0.333 0.650
Zn19 Zn 0.667 0.333 0.750
Zn20 Zn 0.667 0.333 0.900
S1 S 0.000 0.000 0.037
S2 S 0.000 0.000 0.137
S3 S 0.000 0.000 0.237
S4 S 0.000 0.000 0.437
S5 S 0.000 0.000 0.587
S6 S 0.000 0.000 0.738
S7 S 0.000 0.000 0.888
S8 S 0.333 0.667 0.188
S9 S 0.333 0.667 0.338
S10 S 0.333 0.667 0.487
S11 S 0.333 0.667 0.637
S12 S 0.333 0.667 0.837
S13 S 0.333 0.667 0.987
S14 S 0.667 0.333 0.088
S15 S 0.667 0.333 0.287
S16 S 0.667 0.333 0.387
S17 S 0.667 0.333 0.537
S18 S 0.667 0.333 0.687
S19 S 0.667 0.333 0.787
S20 S 0.667 0.333 0.937
```



Simulated powder X-ray diffraction pattern of ZnS for copper Kα, from a GGA-PBE-relaxed structure.
Kinematic intensities with the Lorentz-polarization factor, no thermal factor.

Principal peaks in the range 10 to 90 degrees two-theta, low angle first:
28.22 deg, rel. 100, hkl 0 1 7
28.35 deg, rel. 62, hkl 0 0 22
28.67 deg, rel. 50, hkl 0 1 8
33.12 deg, rel. 15, hkl 1 0 15
46.78 deg, rel. 39, hkl 0 1 29
47.17 deg, rel. 76, hkl 1 1 0
47.92 deg, rel. 22, hkl 0 1 30
55.94 deg, rel. 64, hkl 1 1 22

Atomic structure:
```
data_ZnS
_cell_length_a 3.853
_cell_length_b 3.853
_cell_length_c 69.249
_cell_angle_alpha 90.00
_cell_angle_beta 90.00
_cell_angle_gamma 120.00
_symmetry_space_group_name_H-M 'P 1'
_symmetry_Int_Tables_number 1
_symmetry_space_group_name_Hall 'P 1'
loop_
_atom_site_label
_atom_site_type_symbol
_atom_site_fract_x
_atom_site_fract_y
_atom_site_fract_z
Zn1 Zn 0.000 0.000 0.000
Zn2 Zn 0.000 0.000 0.091
Zn3 Zn 0.000 0.000 0.227
Zn4 Zn 0.000 0.000 0.318
Zn5 Zn 0.000 0.000 0.455
Zn6 Zn 0.000 0.000 0.591
Zn7 Zn 0.000 0.000 0.727
Zn8 Zn 0.000 0.000 0.864
Zn9 Zn 0.333 0.667 0.045
Zn10 Zn 0.333 0.667 0.182
Zn11 Zn 0.333 0.667 0.364
Zn12 Zn 0.333 0.667 0.500
Zn13 Zn 0.333 0.667 0.636
Zn14 Zn 0.333 0.667 0.773
Zn15 Zn 0.333 0.667 0.909
Zn16 Zn 0.667 0.333 0.136
Zn17 Zn 0.667 0.333 0.273
Zn18 Zn 0.667 0.333 0.409
Zn19 Zn 0.667 0.333 0.545
Zn20 Zn 0.667 0.333 0.682
Zn21 Zn 0.667 0.333 0.818
Zn22 Zn 0.667 0.333 0.955
S1 S 0.000 0.000 0.034
S2 S 0.000 0.000 0.125
S3 S 0.000 0.000 0.261
S4 S 0.000 0.000 0.352
S5 S 0.000 0.000 0.489
S6 S 0.000 0.000 0.625
S7 S 0.000 0.000 0.761
S8 S 0.000 0.000 0.898
S9 S 0.333 0.667 0.080
S10 S 0.333 0.667 0.216
S11 S 0.333 0.667 0.398
S12 S 0.333 0.667 0.534
S13 S 0.333 0.667 0.670
S14 S 0.333 0.667 0.807
S15 S 0.333 0.667 0.943
S16 S 0.667 0.333 0.170
S17 S 0.667 0.333 0.307
S18 S 0.667 0.333 0.443
S19 S 0.667 0.333 0.580
S20 S 0.667 0.333 0.716
S21 S 0.667 0.333 0.852
S22 S 0.667 0.333 0.989
```



Simulated powder X-ray diffraction pattern of ZnS for copper Kα, from a GGA-PBE-relaxed structure.
Kinematic intensities with the Lorentz-polarization factor, no thermal factor.

Principal peaks in the range 10 to 90 degrees two-theta, low angle first:
27.42 deg, rel. 29, hkl 0 1 3
27.95 deg, rel. 81, hkl 1 0 4
28.33 deg, rel. 82, hkl 0 0 14
28.61 deg, rel. 50, hkl 0 1 5
29.41 deg, rel. 41, hkl 1 0 6
45.96 deg, rel. 29, hkl 1 0 18
47.19 deg, rel. 100, hkl 1 1 0
55.96 deg, rel. 67, hkl 1 1 14

Atomic structure:
```
data_ZnS
_cell_length_a 3.852
_cell_length_b 3.852
_cell_length_c 44.099
_cell_angle_alpha 90.00
_cell_angle_beta 90.00
_cell_angle_gamma 120.00
_symmetry_space_group_name_H-M 'P 1'
_symmetry_Int_Tables_number 1
_symmetry_space_group_name_Hall 'P 1'
loop_
_atom_site_label
_atom_site_type_symbol
_atom_site_fract_x
_atom_site_fract_y
_atom_site_fract_z
Zn1 Zn 0.000 0.000 0.000
Zn2 Zn 0.000 0.000 0.143
Zn3 Zn 0.000 0.000 0.286
Zn4 Zn 0.000 0.000 0.571
Zn5 Zn 0.000 0.000 0.786
Zn6 Zn 0.333 0.667 0.214
Zn7 Zn 0.333 0.667 0.429
Zn8 Zn 0.333 0.667 0.643
Zn9 Zn 0.333 0.667 0.929
Zn10 Zn 0.667 0.333 0.071
Zn11 Zn 0.667 0.333 0.357
Zn12 Zn 0.667 0.333 0.500
Zn13 Zn 0.667 0.333 0.714
Zn14 Zn 0.667 0.333 0.857
S1 S 0.000 0.000 0.054
S2 S 0.000 0.000 0.196
S3 S 0.000 0.000 0.339
S4 S 0.000 0.000 0.625
S5 S 0.000 0.000 0.839
S6 S 0.333 0.667 0.268
S7 S 0.333 0.667 0.482
S8 S 0.333 0.667 0.696
S9 S 0.333 0.667 0.982
S10 S 0.667 0.333 0.125
S11 S 0.667 0.333 0.411
S12 S 0.667 0.333 0.554
S13 S 0.667 0.333 0.768
S14 S 0.667 0.333 0.911
```